Record 1
Structure and theoretical X-ray diffraction stick pattern of KBeBr (DFT lattice parameters and positions (PBE); Cu Kα, 1.54184 Å).
Neutral-atom scattering factors, no anomalous dispersion.

Cell and atoms:
```
data_KBeBr
_chemical_formula_sum 'K4 Be4 Br4'
_cell_length_a 3.9336
_cell_length_b 7.5541
_cell_length_c 13.5976
_cell_angle_alpha 90.00
_cell_angle_beta 90.00
_cell_angle_gamma 90.00
_space_group_name_H-M_alt 'F m m 2'
_space_group_IT_number 42
_space_group_name_Hall 'F 2 -2'
loop_
_atom_site_label
_atom_site_fract_x
_atom_site_fract_y
_atom_site_fract_z
_atom_site_occupancy
K1 0.0000 0.0000 0.0000 1
Be1 0.0000 0.0000 0.6870 1
Br1 0.0000 0.0000 0.3013 1
```

Top 8 peaks for 5 to 70 degrees two-theta, in order of falling intensity:
| 2θ (°) | d_spacing | I/Imax | (hkl) |
| --- | --- | --- | --- |
| 32.4 | 2.765 | 100 | 1 1 3 |
| 23.6 | 3.777 | 66 | 0 2 0 |
| 26.4 | 3.379 | 61 | 1 1 1 |
| 13.0 | 6.799 | 41 | 0 0 2 |
| 47.3 | 1.921 | 32 | 1 3 3 |
| 26.2 | 3.399 | 27 | 0 0 4 |
| 35.5 | 2.527 | 24 | 0 2 4 |
| 54.0 | 1.697 | 19 | 1 1 7 |

=====

Record 2
Structure and theoretical X-ray diffraction stick pattern of K2BePbBr6 (DFT lattice parameters and positions (PBE); Cu Kα, 1.54184 Å).
Neutral-atom scattering factors, no anomalous dispersion.

Cell and atoms:
```
data_K2BePbBr6
_chemical_formula_sum 'K6 Be3 Pb3 Br18'
_cell_length_a 7.7250
_cell_length_b 7.7250
_cell_length_c 23.4287
_cell_angle_alpha 90.00
_cell_angle_beta 90.00
_cell_angle_gamma 120.00
_space_group_name_H-M_alt 'R 3'
_space_group_IT_number 146
_space_group_name_Hall 'R 3'
loop_
_atom_site_label
_atom_site_fract_x
_atom_site_fract_y
_atom_site_fract_z
_atom_site_occupancy
K1 0.0000 0.0000 0.0000 1
K2 0.0000 0.0000 0.4902 1
Be1 0.0000 0.0000 0.2613 1
Pb1 0.0000 0.0000 0.7002 1
Br1 0.0014 0.6230 0.4276 1
Br2 0.0353 0.2874 0.2617 1
```

Top 8 peaks for 5 to 70 degrees two-theta, in order of falling intensity:
| 2θ (°) | d_spacing | I/Imax | (hkl) |
| --- | --- | --- | --- |
| 25.7 | 3.462 | 100 | 1 1 3 |
| 32.6 | 2.746 | 55 | 1 1 6 |
| 15.3 | 5.809 | 49 | 0 1 2 |
| 40.5 | 2.229 | 42 | 3 0 0 |
| 20.1 | 4.407 | 32 | 1 0 4 |
| 41.8 | 2.159 | 30 | 2 -1 9 |
| 30.8 | 2.905 | 26 | 0 2 4 |
| 13.8 | 6.433 | 26 | 1 0 1 |

=====

Record 3
Structure and theoretical X-ray diffraction stick pattern of Mg2BeBr (DFT lattice parameters and positions (PBE); Cu Kα, 1.54184 Å).
Neutral-atom scattering factors, no anomalous dispersion.

Cell and atoms:
```
data_Mg2BeBr
_chemical_formula_sum 'Mg4 Be2 Br2'
_cell_length_a 15.3632
_cell_length_b 3.3020
_cell_length_c 3.3030
_cell_angle_alpha 90.00
_cell_angle_beta 101.96
_cell_angle_gamma 90.00
_space_group_name_H-M_alt 'C 1 m 1'
_space_group_IT_number 8
loop_
_space_group_symop_operation_xyz
'x,y,z'
'x,-y,z'
'x+1/2,y+1/2,z'
'x+1/2,-y+1/2,z'
loop_
_atom_site_label
_atom_site_fract_x
_atom_site_fract_y
_atom_site_fract_z
_atom_site_occupancy
Mg1 0.0000 0.0000 0.0000 1
Mg2 0.2026 0.0000 0.1975 1
Be1 0.1013 0.5000 0.5959 1
Br1 0.3513 0.0000 0.8475 1
```

Top 8 peaks for 5 to 70 degrees two-theta, in order of falling intensity:
| 2θ (°) | d_spacing | I/Imax | (hkl) |
| --- | --- | --- | --- |
| 27.7 | 3.226 | 100 | 2 0 -1 |
| 11.8 | 7.515 | 77 | 2 0 0 |
| 40.6 | 2.225 | 45 | 3 1 -1 |
| 40.4 | 2.233 | 35 | 1 1 1 |
| 32.5 | 2.757 | 30 | 3 1 0 |
| 45.6 | 1.988 | 22 | 3 1 1 |
| 45.9 | 1.978 | 22 | 5 1 -1 |
| 35.8 | 2.505 | 21 | 6 0 0 |

=====

Record 4
Structure and theoretical X-ray diffraction stick pattern of Mg2BeBr (DFT lattice parameters and positions (PBE); Cu Kα, 1.54184 Å).
Neutral-atom scattering factors, no anomalous dispersion.

Cell and atoms:
```
data_Mg2BeBr
_chemical_formula_sum 'Mg2 Be1 Br1'
_cell_length_a 3.2620
_cell_length_b 3.2712
_cell_length_c 7.6772
_cell_angle_alpha 90.00
_cell_angle_beta 90.00
_cell_angle_gamma 90.00
_space_group_name_H-M_alt 'P m m m'
_space_group_IT_number 47
loop_
_space_group_symop_operation_xyz
'x,y,z'
'-x,-y,-z'
'-x,-y,z'
'x,y,-z'
'x,-y,-z'
'-x,y,z'
'-x,y,-z'
'x,-y,z'
loop_
_atom_site_label
_atom_site_fract_x
_atom_site_fract_y
_atom_site_fract_z
_atom_site_occupancy
Mg1 0.0000 0.0000 0.2058 1
Be1 0.5000 0.5000 0.0000 1
Br1 0.5000 0.0000 0.5000 1
```

Top 8 peaks for 5 to 70 degrees two-theta, in order of falling intensity:
| 2θ (°) | d_spacing | I/Imax | (hkl) |
| --- | --- | --- | --- |
| 11.5 | 7.677 | 100 | 0 0 1 |
| 29.7 | 3.005 | 84 | 1 0 1 |
| 27.3 | 3.271 | 68 | 0 1 0 |
| 36.1 | 2.486 | 67 | 1 0 2 |
| 40.8 | 2.212 | 53 | 1 1 1 |
| 45.8 | 1.979 | 52 | 1 1 2 |
| 45.0 | 2.015 | 33 | 0 1 3 |
| 35.1 | 2.559 | 26 | 0 0 3 |

=====

Record 5
Structure and theoretical X-ray diffraction stick pattern of MnBe2Br6 (DFT lattice parameters and positions (PBE); Cu Kα, 1.54184 Å).
Neutral-atom scattering factors, no anomalous dispersion.

Cell and atoms:
```
data_MnBe2Br6
_chemical_formula_sum 'Mn4 Be8 Br24'
_cell_length_a 13.8342
_cell_length_b 14.0864
_cell_length_c 6.2516
_cell_angle_alpha 90.00
_cell_angle_beta 116.86
_cell_angle_gamma 90.00
_space_group_name_H-M_alt 'C 1 2/c 1'
_space_group_IT_number 15
loop_
_space_group_symop_operation_xyz
'x,y,z'
'-x,-y,-z'
'-x,y,-z+1/2'
'x,-y,z+1/2'
'x+1/2,y+1/2,z'
'-x+1/2,-y+1/2,-z'
'-x+1/2,y+1/2,-z+1/2'
'x+1/2,-y+1/2,z+1/2'
loop_
_atom_site_label
_atom_site_fract_x
_atom_site_fract_y
_atom_site_fract_z
_atom_site_occupancy
Mn1 0.0000 0.2504 0.2500 1
Be1 0.2496 0.0739 0.3618 1
Br1 0.1047 0.1481 0.0977 1
Br2 0.1047 0.3530 0.6109 1
Br3 0.2491 0.0701 0.7156 1
```

Top 8 peaks for 5 to 70 degrees two-theta, in order of falling intensity:
| 2θ (°) | d_spacing | I/Imax | (hkl) |
| --- | --- | --- | --- |
| 28.9 | 3.089 | 100 | 4 2 -1 |
| 30.0 | 2.978 | 36 | 2 4 -1 |
| 19.1 | 4.641 | 32 | 2 2 0 |
| 28.6 | 3.126 | 28 | 2 0 -2 |
| 50.8 | 1.797 | 26 | 6 2 -3 |
| 38.5 | 2.338 | 18 | 2 4 -2 |
| 25.3 | 3.522 | 14 | 0 4 0 |
| 48.7 | 1.868 | 13 | 4 6 0 |

=====

Record 6
Structure and theoretical X-ray diffraction stick pattern of RbMnBe2Br8 (DFT lattice parameters and positions (PBE); Cu Kα, 1.54184 Å).
Neutral-atom scattering factors, no anomalous dispersion.

Cell and atoms:
```
data_RbMnBe2Br8
_chemical_formula_sum 'Rb3 Mn3 Be6 Br24'
_cell_length_a 6.3783
_cell_length_b 6.3783
_cell_length_c 31.0448
_cell_angle_alpha 90.00
_cell_angle_beta 90.00
_cell_angle_gamma 120.00
_space_group_name_H-M_alt 'R -3'
_space_group_IT_number 148
_space_group_name_Hall '-R 3'
loop_
_atom_site_label
_atom_site_fract_x
_atom_site_fract_y
_atom_site_fract_z
_atom_site_occupancy
Rb1 0.0000 0.0000 0.0000 1
Mn1 0.0000 0.0000 0.5000 1
Be1 0.0000 0.0000 0.2377 1
Br1 0.0000 0.0000 0.3066 1
Br2 0.0038 0.6602 0.1173 1
```

Top 8 peaks for 5 to 70 degrees two-theta, in order of falling intensity:
| 2θ (°) | d_spacing | I/Imax | (hkl) |
| --- | --- | --- | --- |
| 29.3 | 3.048 | 100 | 1 1 3 |
| 33.0 | 2.715 | 84 | 2 -1 6 |
| 49.5 | 1.841 | 33 | 3 0 0 |
| 25.8 | 3.451 | 33 | 0 0 9 |
| 19.7 | 4.500 | 24 | 1 0 4 |
| 8.5 | 10.348 | 21 | 0 0 3 |
| 45.1 | 2.009 | 18 | 1 1 12 |
| 56.7 | 1.624 | 18 | 3 0 9 |

=====

Record 7
Structure and theoretical X-ray diffraction stick pattern of Be4MoBr2 (DFT lattice parameters and positions (PBE); Cu Kα, 1.54184 Å).
Neutral-atom scattering factors, no anomalous dispersion.

Cell and atoms:
```
data_Be4MoBr2
_chemical_formula_sum 'Be8 Mo2 Br4'
_cell_length_a 4.6334
_cell_length_b 4.6334
_cell_length_c 14.4148
_cell_angle_alpha 90.00
_cell_angle_beta 90.00
_cell_angle_gamma 90.00
_space_group_name_H-M_alt 'I 4/m m m'
_space_group_IT_number 139
_space_group_name_Hall '-I 4 2'
loop_
_atom_site_label
_atom_site_fract_x
_atom_site_fract_y
_atom_site_fract_z
_atom_site_occupancy
Be1 0.0000 0.0000 0.1638 1
Be2 0.0000 0.5000 0.0000 1
Mo1 0.0000 0.0000 0.0000 1
Br1 0.0000 0.0000 0.3069 1
```

Top 8 peaks for 5 to 70 degrees two-theta, in order of falling intensity:
| 2θ (°) | d_spacing | I/Imax | (hkl) |
| --- | --- | --- | --- |
| 26.7 | 3.335 | 100 | 1 0 3 |
| 27.2 | 3.276 | 63 | 1 1 0 |
| 47.8 | 1.903 | 40 | 2 1 3 |
| 38.9 | 2.317 | 28 | 2 0 0 |
| 48.4 | 1.882 | 15 | 1 0 7 |
| 46.9 | 1.937 | 14 | 1 1 6 |
| 63.7 | 1.461 | 13 | 2 1 7 |
| 63.5 | 1.465 | 11 | 3 1 0 |

=====

Record 8
Structure and theoretical X-ray diffraction stick pattern of Be2SeBrN (DFT lattice parameters and positions (PBE); Cu Kα, 1.54184 Å).
Neutral-atom scattering factors, no anomalous dispersion.

Cell and atoms:
```
data_Be2SeBrN
_chemical_formula_sum 'Be2 Se1 Br1 N1'
_cell_length_a 4.4477
_cell_length_b 4.4477
_cell_length_c 5.4845
_cell_angle_alpha 90.00
_cell_angle_beta 90.00
_cell_angle_gamma 90.00
_space_group_name_H-M_alt 'P 4/m m m'
_space_group_IT_number 123
_space_group_name_Hall '-P 4 2'
loop_
_atom_site_label
_atom_site_fract_x
_atom_site_fract_y
_atom_site_fract_z
_atom_site_occupancy
Be1 0.0000 0.5000 0.0000 1
Se1 0.0000 0.0000 0.0000 1
Br1 0.0000 0.0000 0.5000 1
N1 0.5000 0.5000 0.5000 1
```

Top 8 peaks for 5 to 70 degrees two-theta, in order of falling intensity:
| 2θ (°) | d_spacing | I/Imax | (hkl) |
| --- | --- | --- | --- |
| 20.0 | 4.448 | 100 | 1 0 0 |
| 28.4 | 3.145 | 51 | 1 1 0 |
| 38.6 | 2.334 | 37 | 1 0 2 |
| 43.8 | 2.067 | 30 | 1 1 2 |
| 40.6 | 2.224 | 25 | 2 0 0 |
| 32.7 | 2.742 | 24 | 0 0 2 |
| 57.2 | 1.610 | 23 | 2 1 2 |
| 45.6 | 1.989 | 23 | 2 1 0 |

=====

Record 9
Structure and theoretical X-ray diffraction stick pattern of Na3BeBr4 (DFT lattice parameters and positions (PBE); Cu Kα, 1.54184 Å).
Neutral-atom scattering factors, no anomalous dispersion.

Cell and atoms:
```
data_Na3BeBr4
_chemical_formula_sum 'Na6 Be2 Br8'
_cell_length_a 9.5766
_cell_length_b 7.8947
_cell_length_c 6.7187
_cell_angle_alpha 90.00
_cell_angle_beta 90.00
_cell_angle_gamma 90.00
_space_group_name_H-M_alt 'P m n 21'
_space_group_IT_number 31
loop_
_space_group_symop_operation_xyz
'x,y,z'
'-x+1/2,-y,z+1/2'
'-x,y,z'
'x+1/2,-y,z+1/2'
loop_
_atom_site_label
_atom_site_fract_x
_atom_site_fract_y
_atom_site_fract_z
_atom_site_occupancy
Na1 0.0000 0.2280 0.0000 1
Na2 0.2306 0.6527 0.9978 1
Be1 0.0000 0.8691 0.4538 1
Br1 0.0000 0.1372 0.5594 1
Br2 0.0000 0.8760 0.1250 1
Br3 0.1879 0.7290 0.5552 1
```

Top 8 peaks for 5 to 70 degrees two-theta, in order of falling intensity:
| 2θ (°) | d_spacing | I/Imax | (hkl) |
| --- | --- | --- | --- |
| 25.5 | 3.496 | 100 | 2 1 1 |
| 26.5 | 3.359 | 94 | 0 0 2 |
| 21.7 | 4.094 | 65 | 2 1 0 |
| 22.5 | 3.947 | 50 | 0 2 0 |
| 36.7 | 2.450 | 48 | 0 3 1 |
| 32.3 | 2.774 | 44 | 2 2 1 |
| 40.6 | 2.221 | 42 | 3 1 2 |
| 30.2 | 2.959 | 38 | 3 1 0 |

=====

Record 10
Structure and theoretical X-ray diffraction stick pattern of RbNa3Be4Br12 (DFT lattice parameters and positions (PBE); Cu Kα, 1.54184 Å).
Neutral-atom scattering factors, no anomalous dispersion.

Cell and atoms:
```
data_RbNa3Be4Br12
_chemical_formula_sum 'Rb3 Na9 Be12 Br36'
_cell_length_a 14.2995
_cell_length_b 14.2995
_cell_length_c 11.7538
_cell_angle_alpha 90.00
_cell_angle_beta 90.00
_cell_angle_gamma 120.00
_space_group_name_H-M_alt 'R 3 2'
_space_group_IT_number 155
_space_group_name_Hall 'R 3 2"'
loop_
_atom_site_label
_atom_site_fract_x
_atom_site_fract_y
_atom_site_fract_z
_atom_site_occupancy
Rb1 0.0000 0.0000 0.0000 1
Na1 0.0000 0.5462 0.0000 1
Be1 0.0000 0.0000 0.5000 1
Be2 0.0000 0.4479 0.5000 1
Br1 0.0000 0.5943 0.5000 1
Br2 0.0000 0.8542 0.5000 1
Br3 0.0297 0.2159 0.1740 1
```

Top 8 peaks for 5 to 70 degrees two-theta, in order of falling intensity:
| 2θ (°) | d_spacing | I/Imax | (hkl) |
| --- | --- | --- | --- |
| 27.0 | 3.297 | 100 | 1 3 1 |
| 30.1 | 2.965 | 87 | 3 1 2 |
| 22.7 | 3.918 | 62 | 0 0 3 |
| 33.9 | 2.641 | 36 | 2 2 3 |
| 20.8 | 4.263 | 36 | 2 0 2 |
| 40.4 | 2.233 | 35 | 1 3 4 |
| 54.1 | 1.694 | 26 | 0 7 2 |
| 37.7 | 2.383 | 26 | 3 3 0 |

=====

Record 11
Structure and theoretical X-ray diffraction stick pattern of BeOsBr2 (DFT lattice parameters and positions (PBE); Cu Kα, 1.54184 Å).
Neutral-atom scattering factors, no anomalous dispersion.

Cell and atoms:
```
data_BeOsBr2
_chemical_formula_sum 'Be2 Os2 Br4'
_cell_length_a 17.3138
_cell_length_b 3.2529
_cell_length_c 3.2507
_cell_angle_alpha 90.00
_cell_angle_beta 94.38
_cell_angle_gamma 90.00
_space_group_name_H-M_alt 'C 1 2/m 1'
_space_group_IT_number 12
loop_
_space_group_symop_operation_xyz
'x,y,z'
'-x,-y,-z'
'-x,y,-z'
'x,-y,z'
'x+1/2,y+1/2,z'
'-x+1/2,-y+1/2,-z'
'-x+1/2,y+1/2,-z'
'x+1/2,-y+1/2,z'
loop_
_atom_site_label
_atom_site_fract_x
_atom_site_fract_y
_atom_site_fract_z
_atom_site_occupancy
Be1 0.0000 0.0000 0.0000 1
Os1 0.0000 0.5000 0.5000 1
Br1 0.1391 0.5000 0.5563 1
```

Top 8 peaks for 5 to 70 degrees two-theta, in order of falling intensity:
| 2θ (°) | d_spacing | I/Imax | (hkl) |
| --- | --- | --- | --- |
| 10.2 | 8.632 | 100 | 2 0 0 |
| 27.9 | 3.197 | 62 | 1 1 0 |
| 27.5 | 3.241 | 44 | 0 0 1 |
| 39.3 | 2.292 | 34 | 1 1 -1 |
| 46.2 | 1.965 | 24 | 7 1 0 |
| 31.1 | 2.877 | 22 | 6 0 0 |
| 39.9 | 2.260 | 18 | 1 1 1 |
| 64.1 | 1.454 | 16 | 1 1 -2 |

=====

Record 12
Structure and theoretical X-ray diffraction stick pattern of BePBr (DFT lattice parameters and positions (PBE); Cu Kα, 1.54184 Å).
Neutral-atom scattering factors, no anomalous dispersion.

Cell and atoms:
```
data_BePBr
_chemical_formula_sum 'Be2 P2 Br2'
_cell_length_a 3.8198
_cell_length_b 6.9093
_cell_length_c 7.1145
_cell_angle_alpha 118.89
_cell_angle_beta 90.11
_cell_angle_gamma 90.00
_space_group_name_H-M_alt 'P -1'
_space_group_IT_number 2
loop_
_space_group_symop_operation_xyz
'x,y,z'
'-x,-y,-z'
loop_
_atom_site_label
_atom_site_fract_x
_atom_site_fract_y
_atom_site_fract_z
_atom_site_occupancy
Be1 0.9999 0.2053 0.4985 1
P1 0.4999 0.3528 0.4983 1
Br1 0.0009 0.1395 0.7775 1
```

Top 8 peaks for 5 to 70 degrees two-theta, in order of falling intensity:
| 2θ (°) | d_spacing | I/Imax | (hkl) |
| --- | --- | --- | --- |
| 27.6 | 3.229 | 100 | 1 1 -1 |
| 25.0 | 3.559 | 93 | 0 1 -2 |
| 14.7 | 6.042 | 50 | 0 1 -1 |
| 37.2 | 2.414 | 42 | 1 0 -2 |
| 35.0 | 2.562 | 35 | 1 2 -1 |
| 25.8 | 3.455 | 25 | 0 2 -1 |
| 23.3 | 3.820 | 23 | 1 0 0 |
| 39.8 | 2.265 | 20 | 0 3 -2 |